# 1
Theoretical powder XRD pattern
Compound: K4NaHg3F12
Radiation: Cu Ka
Structure: a structure optimized by DFT (GGA-PBE)

Cell lengths 7.8416, 7.8416, 7.8416 Å; angles 109.47, 109.47, 109.47 degrees
Fractional positions:
K  0.0000  0.0000  0.5000
K  0.0000  0.5000  0.0000
K  0.5000  0.0000  0.0000
K  0.5000  0.5000  0.5000
Na  0.0000  0.0000  0.0000
Hg  0.0000  0.5000  0.5000
Hg  0.5000  0.0000  0.5000
Hg  0.5000  0.5000  0.0000
F  0.0000  0.2553  0.2553
F  0.0000  0.7447  0.7447
F  0.2500  0.5000  0.7500
F  0.2500  0.7500  0.5000
F  0.2553  0.0000  0.2553
F  0.2553  0.2553  0.0000
F  0.5000  0.2500  0.7500
F  0.5000  0.7500  0.2500
F  0.7447  0.0000  0.7447
F  0.7447  0.7447  0.0000
F  0.7500  0.2500  0.5000
F  0.7500  0.5000  0.2500

Largest 10 diffraction maxima, by angle, 2θ from 10° to 80°:
2θ 13.83, rel. 31
2θ 19.61, rel. 66
2θ 24.07, rel. 18
2θ 27.87, rel. 100
2θ 39.82, rel. 40
2θ 44.76, rel. 33
2θ 49.30, rel. 42
2θ 57.58, rel. 25
2θ 65.16, rel. 19
2θ 79.16, rel. 22

=====

# 2
Theoretical powder XRD pattern
Compound: KRbHgF6
Radiation: Cu Ka
Structure: a structure optimized by DFT (GGA-PBE)

Cell lengths 6.2223, 6.2223, 4.7817 Å; angles 90.00, 90.00, 120.00 degrees
Fractional positions:
K  0.0000  0.0000  0.0000
Rb  0.6667  0.3333  0.5540
Hg  0.3333  0.6667  0.2719
F  0.1355  0.3275  0.4981
F  0.1920  0.8645  0.4981
F  0.4648  0.4640  0.0402
F  0.5360  0.0008  0.0402
F  0.6725  0.8080  0.4981
F  0.9992  0.5352  0.0402

Largest 10 diffraction maxima, by angle, 2θ from 10° to 80°:
2θ 16.45, rel. 61
2θ 18.56, rel. 25
2θ 24.90, rel. 100
2θ 28.69, rel. 55
2θ 34.39, rel. 28
2θ 38.35, rel. 53
2θ 41.31, rel. 32
2θ 48.59, rel. 34
2θ 51.07, rel. 27
2θ 59.63, rel. 22

=====

# 3
Theoretical powder XRD pattern
Compound: K2Rb6HgF
Radiation: Cu Ka
Structure: a structure optimized by DFT (GGA-PBE)

Cell lengths 9.2377, 9.2377, 10.0280 Å; angles 117.39, 117.39, 90.00 degrees
Fractional positions:
K  0.2504  0.7496  0.0000
K  0.7496  0.2504  0.0000
Rb  0.2322  0.2322  0.5285
Rb  0.2324  0.7962  0.5286
Rb  0.3015  0.3015  0.1036
Rb  0.7938  0.7938  0.0870
Rb  0.7962  0.2324  0.5286
Rb  0.7960  0.7960  0.5286
Hg  0.5510  0.5510  0.6026
F  0.9761  0.9761  0.4519

Largest 10 diffraction maxima, by angle, 2θ from 10° to 80°:
2θ 11.62, rel. 53
2θ 13.56, rel. 87
2θ 22.30, rel. 66
2θ 22.51, rel. 74
2θ 23.36, rel. 63
2θ 27.11, rel. 42
2θ 27.31, rel. 100
2θ 27.84, rel. 34
2θ 29.60, rel. 39
2θ 36.24, rel. 69

=====

# 4
Theoretical powder XRD pattern
Compound: KRb2HgF8
Radiation: Cu Ka
Structure: a structure optimized by DFT (GGA-PBE)

Cell lengths 5.1178, 5.8769, 8.2648 Å; angles 89.93, 89.97, 84.27 degrees
Fractional positions:
K  0.0000  0.0000  0.0000
Rb  0.5000  0.4996  0.2589
Rb  0.5000  0.5004  0.7411
Hg  0.0000  0.0000  0.5000
F  0.0689  0.2256  0.3021
F  0.0700  0.2254  0.6973
F  0.3697  0.8081  0.4995
F  0.4919  0.1716  0.0000
F  0.5081  0.8284  0.0000
F  0.6303  0.1919  0.5005
F  0.9300  0.7746  0.3027
F  0.9311  0.7744  0.6979

Largest 10 diffraction maxima, by angle, 2θ from 10° to 80°:
2θ 10.70, rel. 72
2θ 20.49, rel. 32
2θ 21.97, rel. 61
2θ 24.30, rel. 52
2θ 26.41, rel. 100
2θ 27.80, rel. 37
2θ 35.25, rel. 31
2θ 40.41, rel. 47
2θ 43.15, rel. 32
2θ 43.26, rel. 26

=====

# 5
Theoretical powder XRD pattern
Compound: KTmHg2F8
Radiation: Cu Ka
Structure: a structure optimized by DFT (GGA-PBE)

Cell lengths 4.0110, 5.7064, 7.9965 Å; angles 90.00, 90.00, 90.00 degrees
Fractional positions:
K  0.0000  0.0000  0.0000
Tm  0.0000  0.0000  0.5000
Hg  0.5000  0.5000  0.2415
Hg  0.5000  0.5000  0.7585
F  0.0000  0.2497  0.2881
F  0.0000  0.2497  0.7119
F  0.0000  0.7503  0.2881
F  0.0000  0.7503  0.7119
F  0.5000  0.2174  0.5000
F  0.5000  0.2716  0.0000
F  0.5000  0.7284  0.0000
F  0.5000  0.7826  0.5000

Largest 10 diffraction maxima, by angle, 2θ from 10° to 80°:
2θ 27.20, rel. 100
2θ 31.35, rel. 10
2θ 31.60, rel. 19
2θ 45.11, rel. 38
2θ 45.21, rel. 10
2θ 45.37, rel. 9
2θ 53.32, rel. 16
2θ 53.59, rel. 16
2θ 53.69, rel. 15
2θ 72.49, rel. 13

=====

# 6
Theoretical powder XRD pattern
Compound: KYHg2F8
Radiation: Cu Ka
Structure: a structure optimized by DFT (GGA-PBE)

Cell lengths 4.0382, 8.0462, 5.7356 Å; angles 90.00, 90.14, 90.00 degrees
Fractional positions:
K  0.0000  0.0000  0.0000
Y  0.0000  0.5000  0.0000
Hg  0.5000  0.2393  0.5000
Hg  0.5000  0.7607  0.5000
F  0.0009  0.2844  0.2531
F  0.0009  0.7156  0.2531
F  0.4989  0.0000  0.7289
F  0.4993  0.5000  0.7781
F  0.5011  0.0000  0.2711
F  0.5007  0.5000  0.2219
F  0.9991  0.2844  0.7469
F  0.9991  0.7156  0.7469

Largest 10 diffraction maxima, by angle, 2θ from 10° to 80°:
2θ 15.45, rel. 43
2θ 22.05, rel. 37
2θ 27.00, rel. 98
2θ 27.07, rel. 98
2θ 31.39, rel. 33
2θ 35.16, rel. 25
2θ 44.85, rel. 100
2θ 53.00, rel. 23
2θ 53.21, rel. 30
2θ 53.33, rel. 28